[1]
# PrHo3S4
Theoretical powder XRD pattern, a wavelength of 1.5418 Å. Input: a cell relaxed with GGA-PBE.
Peak positions follow from Bragg's law for the DFT cell and can differ from measured ones.

Main lines, in order of rising 2θ (2θ from 10° to 80°):
27.48°, I = 42, (2 2 0); 27.95°, I = 40, (0 2 1); 32.11°, I = 100, (2 0 1); 46.04°, I = 48, (2 4 1); 54.21°, I = 14, (4 2 1); 55.01°, I = 13, (2 2 2); 56.72°, I = 13, (4 4 0); 76.39°, I = 21, (4 4 2)

Structural model:
Cell lengths 7.982, 11.156, 3.893 Å; angles 90.00, 90.00, 90.00 degrees
Space group Cmmm (No. 65)
Inequivalent atoms, fractional coordinates:
Pr  0.000  0.000  0.000 [2 per cell]
Ho  0.000  0.500  0.000 [2 per cell]
Ho  0.250  0.250  0.500 [4 per cell]
S  0.000  0.257  0.000 [4 per cell]
S  0.236  0.500  0.500 [4 per cell]



[2]
# NdSc5Tl6
Theoretical powder XRD pattern, a wavelength of 1.5418 Å. Input: a cell relaxed with GGA-PBE.
Peak positions follow from Bragg's law for the DFT cell and can differ from measured ones.

Main lines, in order of rising 2θ (2θ from 10° to 80°):
24.12°, I = 37, (2 0 1); 24.35°, I = 33, (4 0 -1); 34.54°, I = 100, (2 0 -2); 34.64°, I = 98, (2 2 1); 34.80°, I = 97, (4 2 -1); 61.86°, I = 36, (0 2 3); 62.16°, I = 35, (6 2 -3); 62.36°, I = 34, (2 4 -2)

Structural model:
Cell lengths 16.378, 7.271, 5.194 Å; angles 90.00, 107.98, 90.00 degrees
Space group C2/m (No. 12)
Inequivalent atoms, fractional coordinates:
Nd  0.000  0.000  0.000 [2 per cell]
Sc  0.000  0.500  0.000 [2 per cell]
Sc  0.162  0.000  0.662 [4 per cell]
Sc  0.168  0.500  0.669 [4 per cell]
Tl  0.000  0.268  0.500 [4 per cell]
Tl  0.172  0.258  0.172 [8 per cell]